# 1
Diffraction record for La6DyAl2. The powder diffractogram is calculated, not measured: it uses a crystal structure in Alexandria, relaxed with PBE and Cu Kα, 1.54184 Å.
Intensities are scaled so that the largest is 100.

Most intense lines, 15° ≤ 2θ ≤ 90°, low angle first:
- 2θ = 24.83°, 3.586 Å, intensity 24
- 2θ = 26.21°, 3.401 Å, intensity 18
- 2θ = 26.91°, 3.313 Å, intensity 19
- 2θ = 30.19°, 2.961 Å, intensity 19
- 2θ = 30.73°, 2.909 Å, intensity 48
- 2θ = 31.10°, 2.876 Å, intensity 41
- 2θ = 31.60°, 2.831 Å, intensity 100
- 2θ = 32.39°, 2.764 Å, intensity 93
- 2θ = 46.50°, 1.953 Å, intensity 20
- 2θ = 47.45°, 1.916 Å, intensity 19

Structural model:
Cell lengths 6.9020, 6.9020, 11.9690 Å; angles 107.44, 107.44, 32.24 degrees
Sites, in units of the cell vectors:
La1 0.0317 0.0317 0.3277
La2 0.3068 0.3068 0.4000
La3 0.3213 0.3213 0.1225
La4 0.6787 0.6787 0.8775
La5 0.6932 0.6932 0.6000
La6 0.9683 0.9683 0.6723
Dy1 0.0000 0.0000 0.0000
Al1 0.3518 0.3518 0.8150
Al2 0.6482 0.6482 0.1850

# 2
Diffraction record for Rb3Pa3RhS8. The powder diffractogram is calculated, not measured: it uses a crystal structure in Alexandria, relaxed with PBE and Cu Kα, 1.54184 Å.
Intensities are scaled so that the largest is 100.

Most intense lines, 15° ≤ 2θ ≤ 90°, low angle first:
- 2θ = 22.55°, 3.942 Å, intensity 35
- 2θ = 26.33°, 3.385 Å, intensity 20
- 2θ = 27.14°, 3.286 Å, intensity 48
- 2θ = 30.19°, 2.961 Å, intensity 100
- 2θ = 37.42°, 2.403 Å, intensity 18
- 2θ = 40.33°, 2.236 Å, intensity 40
- 2θ = 45.96°, 1.975 Å, intensity 34
- 2θ = 46.70°, 1.945 Å, intensity 19
- 2θ = 51.78°, 1.765 Å, intensity 21
- 2θ = 55.97°, 1.643 Å, intensity 17

Structural model:
Cell lengths 7.8966, 7.8966, 9.1006 Å; angles 115.65, 115.65, 60.07 degrees
Sites, in units of the cell vectors:
Rb1 0.0000 0.0000 0.0000
Rb2 0.0000 0.5000 0.0000
Rb3 0.5000 0.0000 0.0000
Pa1 0.0000 0.5000 0.5000
Pa2 0.5000 0.0000 0.5000
Pa3 0.5000 0.5000 0.5000
Rh1 0.0000 0.0000 0.5000
S1 0.2263 0.2263 0.6847
S2 0.2268 0.7315 0.6850
S3 0.2676 0.2676 0.3029
S4 0.2685 0.7732 0.3150
S5 0.7315 0.2268 0.6850
S6 0.7324 0.7324 0.6971
S7 0.7732 0.2685 0.3150
S8 0.7737 0.7737 0.3153

# 3
Diffraction record for Tb3Dy7Cd. The powder diffractogram is calculated, not measured: it uses a crystal structure in Alexandria, relaxed with PBE and Cu Kα, 1.54184 Å.
Intensities are scaled so that the largest is 100.

Most intense lines, 15° ≤ 2θ ≤ 90°, low angle first:
- 2θ = 18.06°, 4.913 Å, intensity 6
- 2θ = 31.54°, 2.837 Å, intensity 100
- 2θ = 36.58°, 2.456 Å, intensity 51
- 2θ = 52.70°, 1.737 Å, intensity 35
- 2θ = 62.72°, 1.481 Å, intensity 42
- 2θ = 65.88°, 1.418 Å, intensity 9
- 2θ = 86.25°, 1.128 Å, intensity 9
- 2θ = 86.37°, 1.126 Å, intensity 9
- 2θ = 89.08°, 1.099 Å, intensity 8
- 2θ = 89.19°, 1.098 Å, intensity 8

Structural model:
Cell lengths 6.9440, 6.9440, 8.5195 Å; angles 90.00, 90.00, 120.00 degrees
Sites, in units of the cell vectors:
Tb1 0.0030 0.5015 0.0000
Tb2 0.4985 0.5015 0.0000
Tb3 0.4985 0.9970 0.0000
Dy1 0.1696 0.3392 0.3381
Dy2 0.1696 0.8304 0.3381
Dy3 0.3333 0.6667 0.6703
Dy4 0.3348 0.1674 0.6630
Dy5 0.6608 0.8304 0.3381
Dy6 0.8326 0.1674 0.6630
Dy7 0.8326 0.6652 0.6630
Cd1 0.6667 0.3333 0.3386

# 4
Diffraction record for P2Pd8Au. The powder diffractogram is calculated, not measured: it uses a crystal structure in Alexandria, relaxed with PBE and Cu Kα, 1.54184 Å.
Intensities are scaled so that the largest is 100.

Most intense lines, 15° ≤ 2θ ≤ 90°, low angle first:
- 2θ = 32.86°, 2.725 Å, intensity 61
- 2θ = 36.42°, 2.467 Å, intensity 84
- 2θ = 39.35°, 2.290 Å, intensity 100
- 2θ = 39.50°, 2.282 Å, intensity 71
- 2θ = 41.48°, 2.177 Å, intensity 54
- 2θ = 42.00°, 2.151 Å, intensity 67
- 2θ = 45.80°, 1.981 Å, intensity 39
- 2θ = 47.39°, 1.918 Å, intensity 20
- 2θ = 65.63°, 1.423 Å, intensity 23
- 2θ = 73.57°, 1.287 Å, intensity 29

Structural model:
Cell lengths 6.5303, 6.5303, 4.4537 Å; angles 97.89, 97.89, 111.60 degrees
Sites, in units of the cell vectors:
P1 0.1789 0.8211 0.0000
P2 0.8211 0.1789 0.0000
Pd1 0.1127 0.1127 0.3029
Pd2 0.1722 0.4338 0.9086
Pd3 0.2481 0.7519 0.5000
Pd4 0.4338 0.1722 0.9086
Pd5 0.5662 0.8278 0.0914
Pd6 0.7519 0.2481 0.5000
Pd7 0.8278 0.5662 0.0914
Pd8 0.8873 0.8873 0.6971
Au1 0.5000 0.5000 0.5000

Which formula does entry 4 have? P2Pd8Au